Starting from DFT lattice parameters and positions (GGA-PBE), the powder diffractogram of Y3Hg5 was simulated for Cu Kα (λ = 1.5418 Å).
Peak positions follow from Bragg's law for the DFT cell and can differ from measured ones.

Peak list (8 most intense, 10° ≤ 2θ ≤ 90°, by angle)
2θ = 30.47°, intensity 47.7; 2θ = 30.91°, intensity 31.3; 2θ = 32.71°, intensity 100.0; 2θ = 34.02°, intensity 37.8; 2θ = 34.46°, intensity 37.4; 2θ = 34.96°, intensity 29.8; 2θ = 37.54°, intensity 26.4; 2θ = 37.82°, intensity 30.3

Crystal structure
a = 6.152 Å, b = 8.570 Å, c = 8.586 Å
α = 87.60°, β = 71.43°, γ = 72.60°
Atoms (fractional coordinates):
1 Y 0.239 0.314 0.007
2 Y 0.247 0.462 0.545
3 Y 0.252 0.993 0.690
4 Y 0.748 0.007 0.310
5 Y 0.753 0.538 0.455
6 Y 0.761 0.686 0.993
7 Hg 0.136 0.643 0.191
8 Hg 0.146 0.182 0.369
9 Hg 0.255 0.955 0.044
10 Hg 0.368 0.629 0.815
11 Hg 0.371 0.806 0.359
12 Hg 0.629 0.194 0.641
13 Hg 0.632 0.371 0.185
14 Hg 0.745 0.045 0.956
15 Hg 0.854 0.818 0.631
16 Hg 0.864 0.357 0.809

=====

Starting from DFT lattice parameters and positions (GGA-PBE), the powder diffractogram of Y3Hg5 was simulated for Cu Kα (λ = 1.5418 Å).
Peak positions follow from Bragg's law for the DFT cell and can differ from measured ones.

Peak list (8 most intense, 10° ≤ 2θ ≤ 90°, by angle)
2θ = 33.99°, intensity 100.0; 2θ = 35.16°, intensity 24.1; 2θ = 35.55°, intensity 19.6; 2θ = 39.40°, intensity 13.1; 2θ = 50.87°, intensity 12.0; 2θ = 62.34°, intensity 13.0; 2θ = 62.86°, intensity 8.1; 2θ = 71.55°, intensity 8.2

Crystal structure
a = 6.372 Å, b = 6.372 Å, c = 10.210 Å
α = 90.00°, β = 90.00°, γ = 75.14°
Atoms (fractional coordinates):
1 Y 0.065 0.935 0.750
2 Y 0.288 0.288 0.000
3 Y 0.288 0.288 0.500
4 Y 0.712 0.712 0.000
5 Y 0.712 0.712 0.500
6 Y 0.935 0.065 0.250
7 Hg 0.026 0.537 0.250
8 Hg 0.207 0.793 0.028
9 Hg 0.207 0.793 0.472
10 Hg 0.463 0.974 0.250
11 Hg 0.467 0.533 0.750
12 Hg 0.533 0.467 0.250
13 Hg 0.537 0.026 0.750
14 Hg 0.793 0.207 0.528
15 Hg 0.793 0.207 0.972
16 Hg 0.974 0.463 0.750

=====

Starting from DFT lattice parameters and positions (GGA-PBE), the powder diffractogram of YZnHg was simulated for Cu Kα (λ = 1.5418 Å).
Peak positions follow from Bragg's law for the DFT cell and can differ from measured ones.

Peak list (8 most intense, 10° ≤ 2θ ≤ 90°, by angle)
2θ = 23.18°, intensity 27.6; 2θ = 32.75°, intensity 100.0; 2θ = 33.69°, intensity 63.0; 2θ = 35.31°, intensity 53.4; 2θ = 35.67°, intensity 46.6; 2θ = 37.26°, intensity 28.2; 2θ = 40.51°, intensity 32.1; 2θ = 47.39°, intensity 33.4

Crystal structure
a = 13.575 Å, b = 3.837 Å, c = 7.673 Å
α = 90.00°, β = 90.00°, γ = 90.00°
Atoms (fractional coordinates):
1 Y 0.047 0.000 0.248
2 Y 0.250 0.000 0.845
3 Y 0.453 0.000 0.248
4 Y 0.547 0.000 0.752
5 Y 0.750 0.000 0.155
6 Y 0.953 0.000 0.752
7 Zn 0.088 0.500 0.948
8 Zn 0.250 0.000 0.439
9 Zn 0.412 0.500 0.948
10 Zn 0.588 0.500 0.052
11 Zn 0.750 0.000 0.561
12 Zn 0.912 0.500 0.052
13 Hg 0.114 0.500 0.581
14 Hg 0.250 0.500 0.173
15 Hg 0.386 0.500 0.581
16 Hg 0.614 0.500 0.419
17 Hg 0.750 0.500 0.827
18 Hg 0.886 0.500 0.419